Na2Ga2As3: computed X-ray powder pattern (copper Kα), based on a PBE-relaxed structure.
Peak positions follow from Bragg's law for the DFT cell and can differ from measured ones.

Crystal structure
Lattice parameters (Å, degrees): 13.333 6.803 14.590 90.00 90.30 90.00
Atoms (fractional coordinates):
Na: 0.066 0.091 0.411
Na: 0.066 0.409 0.911
Na: 0.153 0.581 0.478
Na: 0.153 0.919 0.978
Na: 0.359 0.047 0.489
Na: 0.359 0.453 0.989
Na: 0.415 0.545 0.390
Na: 0.415 0.955 0.890
Na: 0.585 0.045 0.110
Na: 0.585 0.455 0.610
Na: 0.641 0.547 0.011
Na: 0.641 0.953 0.511
Na: 0.847 0.081 0.022
Na: 0.847 0.419 0.522
Na: 0.934 0.591 0.089
Na: 0.934 0.909 0.589
Ga: 0.087 0.738 0.241
Ga: 0.087 0.762 0.741
Ga: 0.182 0.218 0.160
Ga: 0.182 0.282 0.660
Ga: 0.313 0.740 0.169
Ga: 0.313 0.760 0.669
Ga: 0.410 0.212 0.228
Ga: 0.410 0.288 0.728
Ga: 0.590 0.712 0.272
Ga: 0.590 0.788 0.772
Ga: 0.687 0.240 0.331
Ga: 0.687 0.260 0.831
Ga: 0.818 0.718 0.340
Ga: 0.818 0.782 0.840
Ga: 0.913 0.238 0.259
Ga: 0.913 0.262 0.759
As: 0.020 0.030 0.155
As: 0.020 0.470 0.655
As: 0.160 0.557 0.102
As: 0.160 0.943 0.602
As: 0.248 0.663 0.827
As: 0.248 0.837 0.327
As: 0.250 0.206 0.321
As: 0.250 0.294 0.821
As: 0.340 0.051 0.085
As: 0.340 0.449 0.585
As: 0.470 0.535 0.169
As: 0.470 0.965 0.669
As: 0.530 0.035 0.331
As: 0.530 0.465 0.831
As: 0.660 0.551 0.415
As: 0.660 0.949 0.915
As: 0.750 0.706 0.179
As: 0.750 0.794 0.679
As: 0.752 0.163 0.673
As: 0.752 0.337 0.173
As: 0.840 0.057 0.398
As: 0.840 0.443 0.898
As: 0.980 0.530 0.345
As: 0.980 0.970 0.845

Peak list (6 most intense, 15° ≤ 2θ ≤ 90°, by intensity)
2θ (°)  I/Imax
28.96  100
24.71  81
29.46  74
23.42  64
48.04  60
26.91  59

Hf3Hg: computed X-ray powder pattern (copper Kα), based on a PBE-relaxed structure.
Peak positions follow from Bragg's law for the DFT cell and can differ from measured ones.

Crystal structure
Lattice parameters (Å, degrees): 5.510 5.510 5.510 133.67 133.67 67.61
Atoms (fractional coordinates):
Hf: 0.000 0.000 0.000
Hf: 0.250 0.750 0.500
Hf: 0.750 0.250 0.500
Hg: 0.500 0.500 0.000

Peak list (6 most intense, 15° ≤ 2θ ≤ 90°, by intensity)
2θ (°)  I/Imax
35.23  100
41.67  32
71.89  26
58.65  23
39.36  19
68.71  15

BaCu2Ge3H2O10: computed X-ray powder pattern (copper Kα), based on a PBE-relaxed structure.
Peak positions follow from Bragg's law for the DFT cell and can differ from measured ones.

Crystal structure
Lattice parameters (Å, degrees): 6.290 6.290 13.832 90.00 90.00 126.65
Atoms (fractional coordinates):
Ba: 0.161 0.839 0.750
Ba: 0.839 0.161 0.250
Cu: 0.000 0.500 0.000
Cu: 0.000 0.500 0.500
Cu: 0.500 0.000 0.000
Cu: 0.500 0.000 0.500
Ge: 0.000 0.000 0.000
Ge: 0.000 0.000 0.500
Ge: 0.470 0.530 0.623
Ge: 0.470 0.530 0.877
Ge: 0.530 0.470 0.123
Ge: 0.530 0.470 0.377
H: 0.196 0.804 0.191
H: 0.196 0.804 0.309
H: 0.804 0.196 0.691
H: 0.804 0.196 0.809
O: 0.154 0.846 0.055
O: 0.154 0.846 0.445
O: 0.190 0.292 0.093
O: 0.190 0.292 0.407
O: 0.246 0.754 0.250
O: 0.292 0.190 0.593
O: 0.292 0.190 0.907
O: 0.317 0.683 0.588
O: 0.317 0.683 0.912
O: 0.459 0.541 0.750
O: 0.541 0.459 0.250
O: 0.683 0.317 0.088
O: 0.683 0.317 0.412
O: 0.708 0.810 0.093
O: 0.708 0.810 0.407
O: 0.754 0.246 0.750
O: 0.810 0.708 0.593
O: 0.810 0.708 0.907
O: 0.846 0.154 0.555
O: 0.846 0.154 0.945

Peak list (6 most intense, 15° ≤ 2θ ≤ 90°, by intensity)
2θ (°)  I/Imax
31.39  100
18.72  43
30.35  37
37.96  28
40.76  22
34.45  21

CrN2: computed X-ray powder pattern (copper Kα), based on a PBE-relaxed structure.
Peak positions follow from Bragg's law for the DFT cell and can differ from measured ones.

Crystal structure
Lattice parameters (Å, degrees): 3.335 3.335 3.335 60.00 60.00 60.00
Atoms (fractional coordinates):
Cr: 0.000 0.000 0.000
N: 0.250 0.250 0.250
N: 0.750 0.750 0.750

Peak list (6 most intense, 15° ≤ 2θ ≤ 90°, by intensity)
2θ (°)  I/Imax
32.89  100
55.07  61
65.65  33
38.16  13
81.65  8
68.97  3

WN2: computed X-ray powder pattern (copper Kα), based on a PBE-relaxed structure.
Peak positions follow from Bragg's law for the DFT cell and can differ from measured ones.

Crystal structure
Lattice parameters (Å, degrees): 5.753 5.753 3.952 109.66 109.66 38.84
Atoms (fractional coordinates):
W: 0.122 0.122 0.338
W: 0.878 0.878 0.662
N: 0.081 0.081 0.829
N: 0.328 0.328 0.573
N: 0.672 0.672 0.427
N: 0.919 0.919 0.171

Peak list (6 most intense, 15° ≤ 2θ ≤ 90°, by intensity)
2θ (°)  I/Imax
24.87  100
24.24  69
35.43  64
37.30  46
37.12  45
24.10  30